Record 1
Starting from a crystal structure in the Materials Project, relaxed with PBE+U, the powder diffractogram of BaV4O9 was simulated for copper Kα.

Most intense lines, 10 to 90 degrees two-theta, by angle:
h k l, 2theta, Rel. int.
1 1 -1, 21.5, 637
1 0 2, 27.0, 1000
2 1 -1, 28.6, 778
1 1 -3, 33.1, 962
4 1 -1, 50.1, 340
0 1 5, 54.6, 347

Structural model:
abc: 7.911 5.090 9.580
angles: 90.00 111.60 90.00
Space group P2/c (No. 13)
Asymmetric unit:
Ba: 0.000 0.170 0.250 (multiplicity 2)
V: 0.307 0.242 0.653 (multiplicity 4)
V: 0.448 0.257 0.055 (multiplicity 4)
O: 0.119 0.373 0.661 (multiplicity 4)
O: 0.230 0.065 0.065 (multiplicity 4)
O: 0.326 0.403 0.475 (multiplicity 4)
O: 0.412 0.078 0.851 (multiplicity 4)
O: 0.500 0.476 0.250 (multiplicity 2)

Record 2
Starting from a crystal structure in the Materials Project, relaxed with PBE+U, the powder diffractogram of Ba2V2O7 was simulated for copper Kα.

Most intense lines, 10 to 90 degrees two-theta, by angle:
h k l, 2theta, Rel. int.
0 2 0, 23.9, 815
2 0 -1, 24.8, 994
0 0 4, 26.2, 1000
1 2 0, 26.7, 355
1 -1 3, 27.0, 348
2 0 3, 30.4, 354

Structural model:
abc: 7.498 7.520 13.771
angles: 81.34 88.06 89.46
Space group P-1 (No. 2)
Asymmetric unit:
Ba: 0.084 0.334 0.157 (multiplicity 2)
Ba: 0.232 0.732 0.348 (multiplicity 2)
Ba: 0.332 0.283 0.860 (multiplicity 2)
Ba: 0.362 0.872 0.640 (multiplicity 2)
V: 0.158 0.809 0.085 (multiplicity 2)
V: 0.170 0.194 0.413 (multiplicity 2)
V: 0.228 0.397 0.606 (multiplicity 2)
V: 0.429 0.801 0.893 (multiplicity 2)
O: 0.002 0.125 0.347 (multiplicity 2)
O: 0.007 0.323 0.951 (multiplicity 2)
O: 0.064 0.957 0.154 (multiplicity 2)
O: 0.090 0.431 0.704 (multiplicity 2)
O: 0.093 0.280 0.526 (multiplicity 2)
O: 0.293 0.351 0.337 (multiplicity 2)
O: 0.293 0.663 0.160 (multiplicity 2)
O: 0.294 0.917 0.978 (multiplicity 2)
O: 0.299 0.662 0.834 (multiplicity 2)
O: 0.304 0.596 0.543 (multiplicity 2)
O: 0.313 0.013 0.445 (multiplicity 2)
O: 0.395 0.312 0.051 (multiplicity 2)
O: 0.400 0.262 0.655 (multiplicity 2)
O: 0.495 0.031 0.196 (multiplicity 2)

Record 3
Starting from a crystal structure in the Materials Project, relaxed with PBE+U, the powder diffractogram of BaV4O7 was simulated for copper Kα.

Most intense lines, 10 to 90 degrees two-theta, by angle:
h k l, 2theta, Rel. int.
0 0 2, 16.4, 312
1 0 1, 17.6, 530
1 0 3, 29.3, 476
1 1 2, 31.8, 565
2 0 1, 32.5, 1000
2 2 0, 55.8, 282

Structural model:
abc: 6.5847 6.5847 10.8297
angles: 90.00 90.00 120.00
Space group P6_3mc (No. 186)
Asymmetric unit:
Ba: 0.3333 0.6667 0.0000 (multiplicity 2)
V: 0.0000 0.0000 0.4146 (multiplicity 2)
V: 0.1699 0.3397 0.6589 (multiplicity 6)
O: 0.0000 0.0000 0.2275 (multiplicity 2)
O: 0.0168 0.5084 0.7032 (multiplicity 6)
O: 0.1505 0.3009 0.4857 (multiplicity 6)

Record 4
Starting from a crystal structure in the Materials Project, relaxed with PBE+U, the powder diffractogram of Ba3V2O8 was simulated for copper Kα.

Most intense lines, 10 to 90 degrees two-theta, by angle:
h k l, 2theta, Rel. int.
0 1 5, 27.0, 1000
1 1 0, 30.3, 897
2 0 5, 41.0, 421
1 0 10, 45.6, 260
1 2 5, 51.9, 313
2 1 10, 64.8, 206

Structural model:
abc: 5.9002 5.9002 21.5929
angles: 90.00 90.00 120.00
Space group R-3m (No. 166, hexagonal axes)
Asymmetric unit:
Ba: 0.0000 0.0000 0.0000 (multiplicity 3)
Ba: 0.0000 0.0000 0.2053 (multiplicity 6)
V: 0.0000 0.0000 0.4073 (multiplicity 6)
O: 0.0000 0.0000 0.3272 (multiplicity 6)
O: 0.0105 0.5052 0.2323 (multiplicity 18)

Record 5
Starting from a crystal structure in the Materials Project, relaxed with PBE+U, the powder diffractogram of Ba2V3O7 was simulated for copper Kα.

Most intense lines, 10 to 90 degrees two-theta, by angle:
h k l, 2theta, Rel. int.
0 0 2, 14.2, 1000
0 1 2, 27.0, 450
0 1 3, 31.4, 773
1 0 3, 31.8, 477
1 1 0, 32.5, 911
0 2 0, 46.6, 653

Structural model:
abc: 3.901 3.894 12.501
angles: 90.00 91.43 90.00
Space group Pm (No. 6)
Asymmetric unit:
Ba: 0.000 0.000 0.000 (multiplicity 1)
Ba: 0.021 0.000 0.608 (multiplicity 1)
V: 0.493 0.500 0.822 (multiplicity 1)
V: 0.508 0.500 0.436 (multiplicity 1)
V: 0.512 0.500 0.147 (multiplicity 1)
O: 0.010 0.500 0.458 (multiplicity 1)
O: 0.011 0.500 0.151 (multiplicity 1)
O: 0.468 0.000 0.831 (multiplicity 1)
O: 0.499 0.500 0.983 (multiplicity 1)
O: 0.508 0.000 0.453 (multiplicity 1)
O: 0.510 0.000 0.153 (multiplicity 1)
O: 0.534 0.500 0.679 (multiplicity 1)

Record 6
Starting from a crystal structure in the Materials Project, relaxed with PBE+U, the powder diffractogram of Ba2YV3O8 was simulated for copper Kα.

Most intense lines, 10 to 90 degrees two-theta, by angle:
h k l, 2theta, Rel. int.
0 1 3, 31.3, 1000
1 1 0, 31.6, 841
1 0 3, 32.0, 963
1 1 3, 39.0, 460
1 2 3, 55.6, 385
1 1 6, 56.3, 421

Structural model:
abc: 3.909 4.095 12.005
angles: 90.00 90.00 90.00
Space group Pmmm (No. 47)
Asymmetric unit:
Ba: 0.000 0.000 0.163 (multiplicity 2)
Y: 0.000 0.000 0.500 (multiplicity 1)
V: 0.500 0.500 0.000 (multiplicity 1)
V: 0.500 0.500 0.341 (multiplicity 2)
O: 0.000 0.500 0.000 (multiplicity 1)
O: 0.000 0.500 0.386 (multiplicity 2)
O: 0.500 0.000 0.000 (multiplicity 1)
O: 0.500 0.000 0.381 (multiplicity 2)
O: 0.500 0.500 0.184 (multiplicity 2)

Record 7
Starting from a crystal structure in the Materials Project, relaxed with PBE+U, the powder diffractogram of Ba2YV3O8 was simulated for copper Kα.

Most intense lines, 10 to 90 degrees two-theta, by angle:
h k l, 2theta, Rel. int.
1 3 0, 31.6, 1000
1 0 1, 31.8, 174
0 0 2, 45.3, 130
2 0 0, 45.6, 128
1 6 -1, 56.2, 166
1 6 1, 56.3, 165

Structural model:
abc: 3.983 12.036 4.001
angles: 90.00 90.40 90.00
Space group P2/m (No. 10)
Asymmetric unit:
Ba: 0.000 0.162 0.000 (multiplicity 2)
Y: 0.000 0.500 0.000 (multiplicity 1)
V: 0.500 0.000 0.500 (multiplicity 1)
V: 0.500 0.341 0.500 (multiplicity 2)
O: 0.000 0.000 0.500 (multiplicity 1)
O: 0.000 0.384 0.500 (multiplicity 2)
O: 0.500 0.000 0.000 (multiplicity 1)
O: 0.500 0.184 0.500 (multiplicity 2)
O: 0.500 0.383 0.000 (multiplicity 2)

Record 8
Starting from a crystal structure in the Materials Project, relaxed with PBE+U, the powder diffractogram of Ba2YV3O8 was simulated for copper Kα.

Most intense lines, 10 to 90 degrees two-theta, by angle:
h k l, 2theta, Rel. int.
2 6 0, 31.5, 1000
2 0 1, 31.7, 852
0 6 1, 31.8, 985
2 6 1, 39.0, 468
4 6 1, 56.0, 379
2 12 1, 56.4, 425

Structural model:
abc: 8.085 23.974 3.955
angles: 90.00 90.06 90.00
Space group C2 (No. 5)
Asymmetric unit:
Ba: 0.248 0.000 0.001 (multiplicity 4)
Ba: 0.250 0.336 0.001 (multiplicity 4)
Y: 0.245 0.168 0.001 (multiplicity 4)
V: 0.000 0.088 0.500 (multiplicity 2)
V: 0.000 0.248 0.500 (multiplicity 2)
V: 0.000 0.419 0.500 (multiplicity 2)
V: 0.000 0.589 0.500 (multiplicity 2)
V: 0.000 0.747 0.500 (multiplicity 2)
V: 0.000 0.918 0.500 (multiplicity 2)
O: 0.000 0.009 0.500 (multiplicity 2)
O: 0.000 0.111 0.000 (multiplicity 2)
O: 0.000 0.226 0.000 (multiplicity 2)
O: 0.000 0.326 0.500 (multiplicity 2)
O: 0.000 0.419 0.000 (multiplicity 2)
O: 0.000 0.511 0.500 (multiplicity 2)
O: 0.000 0.610 0.000 (multiplicity 2)
O: 0.000 0.726 0.000 (multiplicity 2)
O: 0.000 0.826 0.500 (multiplicity 2)
O: 0.000 0.917 0.000 (multiplicity 2)
O: 0.244 0.109 0.501 (multiplicity 4)
O: 0.250 0.227 0.501 (multiplicity 4)
O: 0.250 0.418 0.500 (multiplicity 4)

Copy entry 8 word for word.
Starting from a crystal structure in the Materials Project, relaxed with PBE+U, the powder diffractogram of Ba2YV3O8 was simulated for copper Kα.

Most intense lines, 10 to 90 degrees two-theta, by angle:
h k l, 2theta, Rel. int.
2 6 0, 31.5, 1000
2 0 1, 31.7, 852
0 6 1, 31.8, 985
2 6 1, 39.0, 468
4 6 1, 56.0, 379
2 12 1, 56.4, 425

Structural model:
abc: 8.085 23.974 3.955
angles: 90.00 90.06 90.00
Space group C2 (No. 5)
Asymmetric unit:
Ba: 0.248 0.000 0.001 (multiplicity 4)
Ba: 0.250 0.336 0.001 (multiplicity 4)
Y: 0.245 0.168 0.001 (multiplicity 4)
V: 0.000 0.088 0.500 (multiplicity 2)
V: 0.000 0.248 0.500 (multiplicity 2)
V: 0.000 0.419 0.500 (multiplicity 2)
V: 0.000 0.589 0.500 (multiplicity 2)
V: 0.000 0.747 0.500 (multiplicity 2)
V: 0.000 0.918 0.500 (multiplicity 2)
O: 0.000 0.009 0.500 (multiplicity 2)
O: 0.000 0.111 0.000 (multiplicity 2)
O: 0.000 0.226 0.000 (multiplicity 2)
O: 0.000 0.326 0.500 (multiplicity 2)
O: 0.000 0.419 0.000 (multiplicity 2)
O: 0.000 0.511 0.500 (multiplicity 2)
O: 0.000 0.610 0.000 (multiplicity 2)
O: 0.000 0.726 0.000 (multiplicity 2)
O: 0.000 0.826 0.500 (multiplicity 2)
O: 0.000 0.917 0.000 (multiplicity 2)
O: 0.244 0.109 0.501 (multiplicity 4)
O: 0.250 0.227 0.501 (multiplicity 4)
O: 0.250 0.418 0.500 (multiplicity 4)

Which formula does entry 7 have?
Ba2YV3O8